Simulated X-ray diffraction stick pattern of Hf2U for Cu Kα, from the PBE geometry in the Materials Project.
No peak broadening, texture or thermal motion is included.

Principal peaks in the range 2θ from 10° to 80°, in order of rising 2θ:
| 2θ (°) | I_rel |
| --- | --- |
| 19.7 | 3 |
| 34.5 | 100 |
| 36.3 | 85 |
| 46.4 | 4 |
| 50.9 | 33 |
| 61.8 | 19 |
| 62.7 | 6 |
| 63.0 | 35 |
| 72.7 | 12 |
| 73.5 | 23 |

Structural model:
```
Hf2U
1.0
5.201 0.000 0.000
-2.600 4.504 0.000
0.000 0.000 2.965
Hf U
2 1
direct
0.333 0.667 0.000
0.667 0.333 0.000
0.000 0.000 0.500
```

Simulated X-ray diffraction stick pattern of HfV2 for Cu Kα, from the PBE geometry in the Materials Project.
No peak broadening, texture or thermal motion is included.

Principal peaks in the range 2θ from 10° to 80°, in order of rising 2θ:
| 2θ (°) | I_rel |
| --- | --- |
| 21.0 | 31 |
| 34.7 | 80 |
| 40.9 | 100 |
| 42.8 | 9 |
| 49.9 | 3 |
| 54.7 | 9 |
| 62.2 | 30 |
| 66.4 | 31 |
| 73.2 | 21 |
| 77.1 | 7 |

Structural model:
```
HfV2
1.0
0.000 3.658 3.658
3.658 0.000 3.658
3.658 3.658 0.000
Hf V
2 4
direct
0.125 0.125 0.125
0.875 0.875 0.875
0.000 0.500 0.500
0.500 0.000 0.500
0.500 0.500 0.000
0.500 0.500 0.500
```

Simulated X-ray diffraction stick pattern of Hf4V for Cu Kα, from the PBE geometry in the Materials Project.
No peak broadening, texture or thermal motion is included.

Principal peaks in the range 2θ from 10° to 80°, in order of rising 2θ:
| 2θ (°) | I_rel |
| --- | --- |
| 15.8 | 9 |
| 31.9 | 100 |
| 37.0 | 40 |
| 40.5 | 18 |
| 48.7 | 26 |
| 53.3 | 31 |
| 63.5 | 26 |
| 66.7 | 6 |
| 69.0 | 13 |
| 75.1 | 11 |

Structural model:
```
Hf4V
1.0
0.000 4.859 4.859
4.859 0.000 4.859
4.859 4.859 0.000
Hf V
8 2
direct
0.194 0.769 0.769
0.231 0.231 0.231
0.231 0.231 0.806
0.231 0.806 0.231
0.769 0.194 0.769
0.769 0.769 0.194
0.769 0.769 0.769
0.806 0.231 0.231
0.375 0.375 0.375
0.625 0.625 0.625
```

Simulated X-ray diffraction stick pattern of HfV2 for Cu Kα, from the PBE geometry in the Materials Project.
No peak broadening, texture or thermal motion is included.

Principal peaks in the range 2θ from 10° to 80°, in order of rising 2θ:
| 2θ (°) | I_rel |
| --- | --- |
| 20.8 | 30 |
| 21.2 | 29 |
| 34.1 | 26 |
| 34.7 | 100 |
| 35.0 | 24 |
| 40.5 | 65 |
| 41.0 | 31 |
| 41.1 | 91 |
| 62.6 | 28 |
| 73.3 | 27 |

Structural model:
```
HfV2
1.0
-2.562 2.630 3.638
2.562 -2.630 3.638
2.562 2.630 -3.638
Hf V
2 4
direct
0.375 0.125 0.250
0.625 0.875 0.750
0.000 0.000 0.500
0.000 0.500 0.000
0.000 0.500 0.500
0.500 0.500 0.000
```

Simulated X-ray diffraction stick pattern of HfV2 for Cu Kα, from the PBE geometry in the Materials Project.
No peak broadening, texture or thermal motion is included.

Principal peaks in the range 2θ from 10° to 80°, in order of rising 2θ:
| 2θ (°) | I_rel |
| --- | --- |
| 21.0 | 45 |
| 34.2 | 41 |
| 34.9 | 77 |
| 40.4 | 100 |
| 41.7 | 46 |
| 42.8 | 14 |
| 61.6 | 30 |
| 63.0 | 14 |
| 65.4 | 23 |
| 73.7 | 20 |

Structural model:
```
HfV2
1.0
-2.625 2.625 3.566
2.625 -2.625 3.566
2.625 2.625 -3.566
Hf V
2 4
direct
0.375 0.625 0.750
0.625 0.375 0.250
0.000 0.000 0.000
0.000 0.000 0.500
0.000 0.500 0.000
0.500 0.000 0.500
```

Simulated X-ray diffraction stick pattern of HfZrV4 for Cu Kα, from the PBE geometry in the Materials Project.
No peak broadening, texture or thermal motion is included.

Principal peaks in the range 2θ from 10° to 80°, in order of rising 2θ:
| 2θ (°) | I_rel |
| --- | --- |
| 21.0 | 23 |
| 24.3 | 7 |
| 34.6 | 66 |
| 40.8 | 100 |
| 42.7 | 15 |
| 54.5 | 6 |
| 62.0 | 24 |
| 66.2 | 30 |
| 73.0 | 21 |
| 76.9 | 5 |

Structural model:
```
HfZrV4
1.0
0.000 3.668 3.668
3.668 0.000 3.668
3.668 3.668 0.000
Hf Zr V
1 1 4
direct
0.000 0.000 0.000
0.250 0.250 0.250
0.125 0.625 0.625
0.625 0.125 0.625
0.625 0.625 0.125
0.625 0.625 0.625
```

Simulated X-ray diffraction stick pattern of HfZrW4 for Cu Kα, from the PBE geometry in the Materials Project.
No peak broadening, texture or thermal motion is included.

Principal peaks in the range 2θ from 10° to 80°, in order of rising 2θ:
| 2θ (°) | I_rel |
| --- | --- |
| 20.1 | 19 |
| 33.1 | 18 |
| 39.0 | 100 |
| 40.8 | 51 |
| 47.5 | 10 |
| 52.1 | 5 |
| 59.1 | 7 |
| 63.1 | 33 |
| 69.5 | 30 |
| 73.2 | 4 |

Structural model:
```
HfZrW4
1.0
0.000 3.826 3.826
3.826 0.000 3.826
3.826 3.826 0.000
Hf Zr W
1 1 4
direct
0.000 0.000 0.000
0.250 0.250 0.250
0.125 0.625 0.625
0.625 0.125 0.625
0.625 0.625 0.125
0.625 0.625 0.625
```

Simulated X-ray diffraction stick pattern of HfZn3 for Cu Kα, from the PBE geometry in the Materials Project.
No peak broadening, texture or thermal motion is included.

Principal peaks in the range 2θ from 10° to 80°, in order of rising 2θ:
| 2θ (°) | I_rel |
| --- | --- |
| 17.5 | 5 |
| 26.9 | 20 |
| 30.6 | 9 |
| 35.5 | 21 |
| 41.2 | 100 |
| 52.1 | 9 |
| 55.4 | 11 |
| 63.7 | 14 |
| 75.0 | 15 |
| 78.7 | 27 |

Structural model:
```
HfZn3
1.0
5.845 0.000 0.000
-2.922 5.062 0.000
0.000 0.000 4.389
Hf Zn
2 6
direct
0.333 0.667 0.250
0.667 0.333 0.750
0.160 0.320 0.750
0.160 0.840 0.750
0.320 0.160 0.250
0.680 0.840 0.750
0.840 0.160 0.250
0.840 0.680 0.250
```

Simulated X-ray diffraction stick pattern of HfZn16 for Cu Kα, from the PBE geometry in the Materials Project.
No peak broadening, texture or thermal motion is included.

Principal peaks in the range 2θ from 10° to 80°, in order of rising 2θ:
| 2θ (°) | I_rel |
| --- | --- |
| 35.6 | 25 |
| 38.3 | 35 |
| 38.6 | 41 |
| 38.8 | 41 |
| 39.6 | 100 |
| 40.1 | 85 |
| 41.2 | 71 |
| 41.4 | 81 |
| 42.1 | 23 |
| 42.5 | 95 |

Structural model:
```
HfZn16
1.0
3.876 -5.783 0.000
3.876 5.783 0.000
0.000 0.000 11.844
Hf Zn
2 32
direct
0.047 0.953 0.750
0.953 0.047 0.250
0.000 0.000 0.000
0.000 0.000 0.500
0.017 0.645 0.569
0.017 0.645 0.931
0.178 0.822 0.140
0.178 0.822 0.360
0.194 0.480 0.250
0.244 0.351 0.634
0.244 0.351 0.866
0.292 0.708 0.750
0.351 0.244 0.134
0.351 0.244 0.366
0.355 0.983 0.569
0.355 0.983 0.931
0.379 0.621 0.031
0.379 0.621 0.469
0.480 0.194 0.750
0.520 0.806 0.250
0.621 0.379 0.531
0.621 0.379 0.969
0.645 0.017 0.069
0.645 0.017 0.431
0.649 0.756 0.634
0.649 0.756 0.866
0.708 0.292 0.250
0.756 0.649 0.134
0.756 0.649 0.366
0.806 0.520 0.750
0.822 0.178 0.640
0.822 0.178 0.860
0.983 0.355 0.069
0.983 0.355 0.431
```

Simulated X-ray diffraction stick pattern of HfZr3 for Cu Kα, from the PBE geometry in the Materials Project.
No peak broadening, texture or thermal motion is included.

Principal peaks in the range 2θ from 10° to 80°, in order of rising 2θ:
| 2θ (°) | I_rel |
| --- | --- |
| 23.4 | 10 |
| 27.7 | 4 |
| 32.0 | 24 |
| 34.7 | 26 |
| 36.6 | 100 |
| 48.0 | 15 |
| 57.1 | 18 |
| 63.4 | 20 |
| 68.6 | 21 |
| 69.7 | 15 |

Structural model:
```
HfZr3
1.0
6.452 0.000 0.000
-3.226 5.587 0.000
0.000 0.000 5.168
Hf Zr
2 6
direct
0.333 0.667 0.250
0.667 0.333 0.750
0.167 0.334 0.750
0.167 0.833 0.750
0.334 0.167 0.250
0.666 0.833 0.750
0.833 0.167 0.250
0.833 0.666 0.250
```

Simulated X-ray diffraction stick pattern of HoHg for Cu Kα, from the PBE geometry in the Materials Project.
No peak broadening, texture or thermal motion is included.

Principal peaks in the range 2θ from 10° to 80°, in order of rising 2θ:
| 2θ (°) | I_rel |
| --- | --- |
| 24.0 | 1 |
| 34.1 | 100 |
| 49.1 | 18 |
| 55.3 | 1 |
| 61.1 | 38 |
| 71.9 | 12 |

Structural model:
```
HoHg
1.0
3.714 0.000 0.000
0.000 3.714 0.000
0.000 0.000 3.714
Ho Hg
1 1
direct
0.000 0.000 0.000
0.500 0.500 0.500
```

Simulated X-ray diffraction stick pattern of HoHg2 for Cu Kα, from the PBE geometry in the Materials Project.
No peak broadening, texture or thermal motion is included.

Principal peaks in the range 2θ from 10° to 80°, in order of rising 2θ:
| 2θ (°) | I_rel |
| --- | --- |
| 32.8 | 62 |
| 35.6 | 100 |
| 47.1 | 23 |
| 55.2 | 7 |
| 60.4 | 44 |
| 65.7 | 17 |
| 68.8 | 8 |
| 75.4 | 12 |
| 78.3 | 11 |
| 79.9 | 10 |

Structural model:
```
HoHg2
1.0
-1.930 1.930 4.995
1.930 -1.930 4.995
1.930 1.930 -4.995
Ho Hg
1 2
direct
0.000 0.000 0.000
0.333 0.333 0.000
0.667 0.667 0.000
```

Simulated X-ray diffraction stick pattern of HoHg2 for Cu Kα, from the PBE geometry in the Materials Project.
No peak broadening, texture or thermal motion is included.

Principal peaks in the range 2θ from 10° to 80°, in order of rising 2θ:
| 2θ (°) | I_rel |
| --- | --- |
| 26.3 | 51 |
| 32.8 | 20 |
| 33.6 | 100 |
| 43.2 | 83 |
| 58.1 | 13 |
| 60.1 | 19 |
| 65.3 | 13 |
| 66.8 | 23 |
| 70.7 | 12 |
| 76.9 | 16 |

Structural model:
```
HoHg2
1.0
5.332 0.000 0.000
-2.666 4.617 0.000
0.000 0.000 3.384
Ho Hg
1 2
direct
0.000 0.000 0.000
0.333 0.667 0.917
0.667 0.333 0.083
```

Simulated X-ray diffraction stick pattern of HoHg2 for Cu Kα, from the PBE geometry in the Materials Project.
No peak broadening, texture or thermal motion is included.

Principal peaks in the range 2θ from 10° to 80°, in order of rising 2θ:
| 2θ (°) | I_rel |
| --- | --- |
| 26.0 | 13 |
| 33.5 | 100 |
| 36.3 | 97 |
| 45.2 | 19 |
| 50.2 | 32 |
| 53.4 | 11 |
| 63.5 | 32 |
| 65.3 | 18 |
| 66.3 | 34 |
| 77.1 | 11 |

Structural model:
```
HoHg2
1.0
4.949 0.000 0.000
-2.474 4.286 0.000
0.000 0.000 3.431
Ho Hg
1 2
direct
0.000 0.000 0.000
0.333 0.667 0.500
0.667 0.333 0.500
```

Simulated X-ray diffraction stick pattern of Ho3Hg for Cu Kα, from the PBE geometry in the Materials Project.
No peak broadening, texture or thermal motion is included.

Principal peaks in the range 2θ from 10° to 80°, in order of rising 2θ:
| 2θ (°) | I_rel |
| --- | --- |
| 18.5 | 1 |
| 26.3 | 1 |
| 32.4 | 100 |
| 37.6 | 50 |
| 54.2 | 35 |
| 64.6 | 42 |
| 67.8 | 12 |

Structural model:
```
Ho3Hg
1.0
4.787 0.000 0.000
0.000 4.787 0.000
0.000 0.000 4.787
Ho Hg
3 1
direct
0.000 0.000 0.500
0.000 0.500 0.000
0.500 0.000 0.000
0.500 0.500 0.500
```